Calculated X-ray diffraction stick pattern
Compound: Er2WO6
Radiation: λ = 1.5418 Å (Cu Kα)
Structure: a DFT-relaxed cell (PBE+U, Alexandria)
No peak broadening, texture or thermal motion is included.

abc: 5.239 9.101 9.927
angles: 90.00 90.00 90.00
Element x y z (fractional)
Er (0.015, 0.104, 0.465)
Er (0.041, 0.219, 0.871)
Er (0.459, 0.781, 0.371)
Er (0.485, 0.896, 0.965)
Er (0.515, 0.396, 0.535)
Er (0.541, 0.281, 0.129)
Er (0.959, 0.719, 0.629)
Er (0.985, 0.604, 0.035)
W (0.037, 0.496, 0.348)
W (0.463, 0.504, 0.848)
W (0.537, 0.004, 0.652)
W (0.963, 0.996, 0.152)
O (0.093, 0.842, 0.032)
O (0.175, 0.954, 0.302)
O (0.178, 0.637, 0.819)
O (0.194, 0.642, 0.236)
O (0.235, 0.117, 0.069)
O (0.246, 0.589, 0.496)
O (0.254, 0.411, 0.996)
O (0.265, 0.883, 0.569)
O (0.306, 0.358, 0.736)
O (0.322, 0.363, 0.319)
O (0.325, 0.046, 0.802)
O (0.407, 0.158, 0.532)
O (0.593, 0.658, 0.968)
O (0.675, 0.546, 0.698)
O (0.678, 0.863, 0.181)
O (0.694, 0.858, 0.764)
O (0.735, 0.383, 0.931)
O (0.746, 0.911, 0.504)
O (0.754, 0.089, 0.004)
O (0.765, 0.617, 0.431)
O (0.806, 0.142, 0.264)
O (0.822, 0.137, 0.681)
O (0.825, 0.454, 0.198)
O (0.907, 0.342, 0.468)

Peak list (10 most intense, 10 to 90 degrees two-theta, by intensity)
index  d [Å]  Rel. int.
1 2 1  3.247  100
1 1 3  2.674  67
1 1 2  3.350  65
1 2 0  3.436  36
2 0 0  2.620  35
1 5 1  1.694  29
0 3 1  2.901  27
0 3 2  2.589  26
2 3 1  1.944  24
0 1 3  3.110  22